# 1
KBaV2CuClO7: simulated powder diffractogram (copper Kα), based on a structure optimized by DFT (PBE+U).

Top 10 peaks for 5 to 70 degrees two-theta, sorted by position:
2θ/deg, I/Imax
25.4, 39
27.1, 100
27.4, 63
28.3, 20
31.3, 23
31.6, 35
31.8, 30
37.7, 19
44.7, 25
53.9, 17

Structure:
```
data_KBaV2CuClO7
_chemical_formula_sum 'K2 Ba2 V4 Cu2 Cl2 O14'
_cell_length_a 8.9948
_cell_length_b 8.9948
_cell_length_c 5.6204
_cell_angle_alpha 90.00
_cell_angle_beta 90.00
_cell_angle_gamma 90.99
_space_group_name_H-M_alt 'P 1'
_space_group_IT_number 1
loop_
_space_group_symop_operation_xyz
'x,y,z'
loop_
_atom_site_label
_atom_site_fract_x
_atom_site_fract_y
_atom_site_fract_z
K1 0.1728 0.1728 0.0000
K2 0.8272 0.8272 0.0000
Ba1 0.3213 0.6787 0.9943
Ba2 0.6787 0.3213 0.9943
V1 0.1312 0.8688 0.5329
V2 0.3673 0.3673 0.5325
V3 0.6327 0.6327 0.5325
V4 0.8688 0.1312 0.5329
Cu1 0.0000 0.5000 0.6081
Cu2 0.5000 0.0000 0.6081
Cl1 0.0000 0.5000 0.1401
Cl2 0.5000 0.0000 0.1401
O1 0.0000 0.0000 0.6608
O2 0.0914 0.6953 0.6508
O3 0.1300 0.8700 0.2317
O4 0.1974 0.4151 0.6463
O5 0.3047 0.9086 0.6508
O6 0.3810 0.3810 0.2308
O7 0.4151 0.1974 0.6463
O8 0.5000 0.5000 0.6749
O9 0.5849 0.8026 0.6463
O10 0.6190 0.6190 0.2308
O11 0.6953 0.0914 0.6508
O12 0.8026 0.5849 0.6463
O13 0.8700 0.1300 0.2317
O14 0.9086 0.3047 0.6508
```



# 2
CaNi2O5: simulated powder diffractogram (copper Kα), based on a structure optimized by DFT (PBE+U).

Top 10 peaks for 5 to 70 degrees two-theta, sorted by position:
2θ/deg, I/Imax
14.8, 100
22.1, 20
23.6, 14
25.0, 22
28.8, 10
32.9, 15
34.2, 36
36.2, 12
45.0, 16
45.7, 15

Structure:
```
data_CaNi2O5
_chemical_formula_sum 'Ca2 Ni4 O10'
_cell_length_a 6.2974
_cell_length_b 6.2974
_cell_length_c 10.9161
_cell_angle_alpha 90.00
_cell_angle_beta 90.00
_cell_angle_gamma 143.26
_space_group_name_H-M_alt 'P 1'
_space_group_IT_number 1
loop_
_space_group_symop_operation_xyz
'x,y,z'
loop_
_atom_site_label
_atom_site_fract_x
_atom_site_fract_y
_atom_site_fract_z
Ca1 0.1051 0.8949 0.7500
Ca2 0.8949 0.1051 0.2500
Ni1 0.2421 0.7579 0.0970
Ni2 0.2421 0.7579 0.4030
Ni3 0.7579 0.2421 0.5970
Ni4 0.7579 0.2421 0.9030
O1 0.0890 0.9110 0.1882
O2 0.0890 0.9110 0.3118
O3 0.2258 0.7742 0.5771
O4 0.2258 0.7742 0.9229
O5 0.3199 0.6801 0.2500
O6 0.6801 0.3199 0.7500
O7 0.7742 0.2258 0.0771
O8 0.7742 0.2258 0.4229
O9 0.9110 0.0890 0.6882
O10 0.9110 0.0890 0.8118
```



# 3
Li3MnSi2O7: simulated powder diffractogram (copper Kα), based on a structure optimized by DFT (PBE+U).

Top 10 peaks for 5 to 70 degrees two-theta, sorted by position:
2θ/deg, I/Imax
13.3, 47
18.7, 100
24.0, 60
24.3, 59
25.0, 64
34.7, 53
35.0, 51
35.7, 51
36.1, 56
59.1, 20

Structure:
```
data_Li3MnSi2O7
_chemical_formula_sum 'Li3 Mn1 Si2 O7'
_cell_length_a 4.6653
_cell_length_b 5.3534
_cell_length_c 6.7593
_cell_angle_alpha 99.34
_cell_angle_beta 90.85
_cell_angle_gamma 115.63
_space_group_name_H-M_alt 'P 1'
_space_group_IT_number 1
loop_
_space_group_symop_operation_xyz
'x,y,z'
loop_
_atom_site_label
_atom_site_fract_x
_atom_site_fract_y
_atom_site_fract_z
Li1 0.0000 0.0000 0.0000
Li2 0.1236 0.2819 0.4008
Li3 0.5705 0.1471 0.6812
Mn1 0.2867 0.5845 0.8609
Si1 0.7245 0.4192 0.1384
Si2 0.8707 0.7326 0.5615
O1 0.0362 0.6652 0.0572
O2 0.1690 0.0181 0.5387
O3 0.4211 0.3274 0.9663
O4 0.6263 0.5596 0.3517
O5 0.6579 0.8088 0.7358
O6 0.7999 0.1652 0.1733
O7 0.9741 0.4970 0.6340
```



# 4
Sr3Fe2TeO9: simulated powder diffractogram (copper Kα), based on a structure optimized by DFT (PBE+U).

Top 10 peaks for 5 to 70 degrees two-theta, sorted by position:
2θ/deg, I/Imax
18.1, 8
22.2, 11
31.6, 100
31.7, 99
39.1, 9
45.4, 71
56.2, 18
56.4, 58
66.0, 20
66.2, 21

Structure:
```
data_Sr3Fe2TeO9
_chemical_formula_sum 'Sr3 Fe2 Te1 O9'
_cell_length_a 5.6443
_cell_length_b 5.6443
_cell_length_c 6.9494
_cell_angle_alpha 90.00
_cell_angle_beta 90.00
_cell_angle_gamma 120.00
_space_group_name_H-M_alt 'P 1'
_space_group_IT_number 1
loop_
_space_group_symop_operation_xyz
'x,y,z'
loop_
_atom_site_label
_atom_site_fract_x
_atom_site_fract_y
_atom_site_fract_z
Sr1 0.0000 0.0000 0.0000
Sr2 0.3333 0.6667 0.3212
Sr3 0.6667 0.3333 0.6788
Fe1 0.3333 0.6667 0.8495
Fe2 0.6667 0.3333 0.1505
Te1 0.0000 0.0000 0.5000
O1 0.0000 0.5000 0.0000
O2 0.1627 0.3254 0.6609
O3 0.1627 0.8373 0.6609
O4 0.3254 0.1627 0.3391
O5 0.5000 0.0000 0.0000
O6 0.5000 0.5000 0.0000
O7 0.6746 0.8373 0.6609
O8 0.8373 0.1627 0.3391
O9 0.8373 0.6746 0.3391
```